Structure and theoretical powder diffractogram of PmTm5Pb5 (a structure optimized by DFT (GGA-PBE); Cu Kα X-rays).
Kinematic intensities with the Lorentz-polarization factor, no thermal factor.

Structural model:
```
PmTm5Pb5
1.0
7.768 -3.124 0.000
7.768 3.124 0.000
-1.635 0.000 7.195
Pm Tm Pb
1 5 5
Cartesian
0.000 0.000 0.000
-0.817 0.000 3.598
4.915 0.000 1.131
4.327 0.000 4.728
9.574 0.000 2.467
8.986 0.000 6.064
2.074 0.000 2.484
1.335 0.000 5.843
7.768 0.000 0.000
12.566 0.000 1.353
11.826 0.000 4.711
```

Main lines, sorted by position (10 to 80 degrees two-theta):
two_theta  Rel. int.
28.58  100.0
29.76  88.5
30.24  80.6
35.56  53.6
41.73  72.0
42.09  66.7
46.23  52.0
49.41  20.0
58.08  24.8
67.85  33.0

***

Structure and theoretical powder diffractogram of Ca2Tl3Pb2 (a structure optimized by DFT (GGA-PBE); Cu Kα X-rays).
Kinematic intensities with the Lorentz-polarization factor, no thermal factor.

Structural model:
```
Ca2Tl3Pb2
1.0
4.818 0.000 0.000
-0.008 4.989 0.000
-2.393 -2.434 9.248
Ca Tl Pb
2 3 2
Cartesian
0.005 0.013 2.235
2.412 2.542 7.013
0.001 2.525 4.564
2.409 0.000 0.000
2.416 0.030 4.684
0.001 0.050 7.084
2.416 2.505 2.165
```

Main lines, sorted by position (10 to 80 degrees two-theta):
two_theta  Rel. int.
19.04  56.1
23.00  16.5
32.21  100.0
32.35  99.0
36.00  38.0
37.33  35.1
38.96  28.6
52.83  25.6
55.05  21.1
64.13  21.2

***

Structure and theoretical powder diffractogram of Ag4Te3 (a structure optimized by DFT (GGA-PBE); Cu Kα X-rays).
Kinematic intensities with the Lorentz-polarization factor, no thermal factor.

Structural model:
```
Ag4Te3
1.0
7.181 4.146 1.957
-7.181 4.146 1.957
0.000 -8.292 1.957
Ag Te
8 6
Cartesian
0.000 0.000 0.000
-4.050 1.241 2.134
0.951 -4.128 2.134
-3.100 -2.887 3.736
0.000 0.000 2.935
3.100 2.887 2.134
-0.951 4.128 3.736
4.050 -1.241 3.736
-1.606 -2.089 1.530
-1.006 2.435 1.530
2.612 -0.346 1.530
-2.612 0.346 4.340
1.006 -2.435 4.340
1.606 2.089 4.340
```

Main lines, sorted by position (10 to 80 degrees two-theta):
two_theta  Rel. int.
30.05  100.0
33.00  18.0
36.07  28.7
40.35  35.0
41.38  9.4
43.66  7.1
45.54  23.8
47.06  9.9
48.20  7.3
67.05  7.0